ZrScBiO6: calculated XRD peak list (λ = 1.5418 Å (Cu Kα)), based on DFT lattice parameters and positions (PBE).
Intensities are scaled so that the largest is 100.

Lattice parameters (Å, degrees): 5.4729 5.4729 9.2507 90.00 90.00 120.00
Sites, in units of the cell vectors:
Zr (0.3333, 0.6667, 0.2500)
Zr (0.6667, 0.3333, 0.7500)
Sc (0.0000, 0.0000, 0.0000)
Sc (0.0000, 0.0000, 0.5000)
Bi (0.3333, 0.6667, 0.7500)
Bi (0.6667, 0.3333, 0.2500)
O (0.0027, 0.3362, 0.1276)
O (0.0027, 0.6665, 0.3724)
O (0.3335, 0.3362, 0.3724)
O (0.3335, 0.9973, 0.1276)
O (0.3362, 0.0027, 0.6276)
O (0.3362, 0.3335, 0.8724)
O (0.6638, 0.6665, 0.1276)
O (0.6638, 0.9973, 0.3724)
O (0.6665, 0.0027, 0.8724)
O (0.6665, 0.6638, 0.6276)
O (0.9973, 0.3335, 0.6276)
O (0.9973, 0.6638, 0.8724)

Largest 10 diffraction maxima, low angle first, 2θ = 15–90°:
| index | Position (°2θ) | I (rel.) |
| --- | --- | --- |
| 1 0 0 | 18.72 | 33 |
| 0 0 2 | 19.19 | 64 |
| 1 0 1 | 21.06 | 41 |
| 1 0 2 | 26.93 | 100 |
| 1 1 0 | 32.73 | 68 |
| 1 1 2 | 38.21 | 75 |
| 2 0 2 | 42.88 | 28 |
| 1 1 4 | 51.75 | 65 |
| 2 1 2 | 54.97 | 27 |
| 3 0 0 | 58.41 | 27 |